Record 1
Diffraction record for V2Si4O11. The powder XRD pattern is simulated, not measured: it uses a DFT-relaxed cell (GGA+U, the Materials Project) and Cu Ka.
Neutral-atom scattering factors, no anomalous dispersion.

Most intense lines, 10 to 80 degrees two-theta, by angle:
2θ/deg  I (rel.)  h k l
12.75  50.3  0 1 0
13.51  35.5  1 0 0
22.48  26.9  0 1 -2
26.39  14.6  2 -1 0
26.54  24.0  1 -2 1
27.14  100.0  1 -1 2
30.34  64.7  2 0 -2
32.56  27.6  1 2 0
33.50  26.9  2 1 0
42.86  48.7  1 1 -4

Atomic structure:
```
data_V2Si4O11
_symmetry_space_group_name_H-M 'P -1'
_symmetry_Int_Tables_number 2
_cell_length_a 6.9944
_cell_length_b 7.3635
_cell_length_c 8.6189
_cell_angle_alpha 99.47
_cell_angle_beta 101.29
_cell_angle_gamma 104.64
loop_
_symmetry_equiv_pos_as_xyz
'x,y,z'
'-x,-y,-z'
loop_
_atom_site_label
_atom_site_type_symbol
_atom_site_fract_x
_atom_site_fract_y
_atom_site_fract_z
V1 V 0.1226 0.3863 0.3840
V2 V 0.1249 0.3856 0.8873
Si1 Si 0.1194 0.9772 0.2694
Si2 Si 0.2792 0.7789 0.9804
Si3 Si 0.2815 0.7760 0.5424
Si4 Si 0.4821 0.6036 0.2713
O1 O 0.0814 0.6262 0.9132
O2 O 0.0819 0.1604 0.8059
O3 O 0.0817 0.6265 0.4317
O4 O 0.0931 0.1608 0.3110
O5 O 0.2414 0.9434 0.1035
O6 O 0.2535 0.9416 0.4766
O7 O 0.2962 0.4453 0.1796
O8 O 0.2997 0.4290 0.6811
O9 O 0.3368 0.8151 0.7858
O10 O 0.4576 0.7033 0.4841
O11 O 0.4584 0.7153 0.1069
```



Record 2
Diffraction record for Zn2Cr9O13. The powder XRD pattern is simulated, not measured: it uses a DFT-relaxed cell (GGA+U, the Materials Project) and Cu Ka.
Neutral-atom scattering factors, no anomalous dispersion.

Most intense lines, 10 to 80 degrees two-theta, by angle:
2θ/deg  I (rel.)  h k l
29.31  28.8  0 1 4
33.90  73.9  0 1 5
34.02  26.9  1 -1 2
34.32  100.0  0 1 -6
34.41  34.7  0 2 -1
35.65  34.1  1 1 0
35.97  49.4  1 1 -2
36.73  30.2  1 1 1
47.68  25.9  -1 2 3
53.66  26.7  1 2 3

Atomic structure:
```
data_Zn2Cr9O13
_symmetry_space_group_name_H-M 'P -1'
_symmetry_Int_Tables_number 2
_cell_length_a 3.0787
_cell_length_b 5.2371
_cell_length_c 16.9367
_cell_angle_alpha 97.78
_cell_angle_beta 92.89
_cell_angle_gamma 95.53
loop_
_symmetry_equiv_pos_as_xyz
'x,y,z'
'-x,-y,-z'
loop_
_atom_site_label
_atom_site_type_symbol
_atom_site_fract_x
_atom_site_fract_y
_atom_site_fract_z
Zn1 Zn 0.0210 0.0447 0.2743
Cr1 Cr 0.0000 0.5000 0.0000
Cr2 Cr 0.1097 0.7802 0.5418
Cr3 Cr 0.2644 0.0055 0.9160
Cr4 Cr 0.4948 0.3691 0.6220
Cr5 Cr 0.4967 0.4954 0.8297
O1 O 0.0267 0.6864 0.1148
O2 O 0.0383 0.7504 0.8169
O3 O 0.0461 0.6292 0.6460
O4 O 0.0678 0.8620 0.4251
O5 O 0.4628 0.2614 0.0222
O6 O 0.4864 0.7921 0.2770
O7 O 0.5000 0.5000 0.5000
```



What did the second record say?
Diffraction record for Zn2Cr9O13. The powder XRD pattern is simulated, not measured: it uses a DFT-relaxed cell (GGA+U, the Materials Project) and Cu Ka.
Neutral-atom scattering factors, no anomalous dispersion.

Most intense lines, 10 to 80 degrees two-theta, by angle:
2θ/deg  I (rel.)  h k l
29.31  28.8  0 1 4
33.90  73.9  0 1 5
34.02  26.9  1 -1 2
34.32  100.0  0 1 -6
34.41  34.7  0 2 -1
35.65  34.1  1 1 0
35.97  49.4  1 1 -2
36.73  30.2  1 1 1
47.68  25.9  -1 2 3
53.66  26.7  1 2 3

Atomic structure:
```
data_Zn2Cr9O13
_symmetry_space_group_name_H-M 'P -1'
_symmetry_Int_Tables_number 2
_cell_length_a 3.0787
_cell_length_b 5.2371
_cell_length_c 16.9367
_cell_angle_alpha 97.78
_cell_angle_beta 92.89
_cell_angle_gamma 95.53
loop_
_symmetry_equiv_pos_as_xyz
'x,y,z'
'-x,-y,-z'
loop_
_atom_site_label
_atom_site_type_symbol
_atom_site_fract_x
_atom_site_fract_y
_atom_site_fract_z
Zn1 Zn 0.0210 0.0447 0.2743
Cr1 Cr 0.0000 0.5000 0.0000
Cr2 Cr 0.1097 0.7802 0.5418
Cr3 Cr 0.2644 0.0055 0.9160
Cr4 Cr 0.4948 0.3691 0.6220
Cr5 Cr 0.4967 0.4954 0.8297
O1 O 0.0267 0.6864 0.1148
O2 O 0.0383 0.7504 0.8169
O3 O 0.0461 0.6292 0.6460
O4 O 0.0678 0.8620 0.4251
O5 O 0.4628 0.2614 0.0222
O6 O 0.4864 0.7921 0.2770
O7 O 0.5000 0.5000 0.5000
```